The following is a theoretical X-ray powder pattern of La2PdO5. It was derived from a DFT-relaxed cell (GGA-PBE, OQMD), using Cu Kα (λ = 1.5418 Å).
Intensities are scaled so that the largest is 100.

Structural model:
Cell lengths 7.0104, 7.0104, 7.0104 Å; angles 99.66, 99.66, 131.63 degrees
Positions (direct):
La1 0.1056 0.3170 0.4226
La2 0.3170 0.8944 0.2113
La3 0.6830 0.1056 0.7887
La4 0.8944 0.6830 0.5774
Pd1 0.2600 0.2600 0.0000
Pd2 0.7400 0.7400 0.0000
O1 0.0486 0.1453 0.7088
O2 0.1453 0.4365 0.0967
O3 0.2500 0.7500 0.5000
O4 0.3398 0.0486 0.9033
O5 0.4365 0.3398 0.2912
O6 0.5635 0.6602 0.7088
O7 0.6602 0.9514 0.0967
O8 0.7500 0.2500 0.5000
O9 0.8547 0.5635 0.9033
O10 0.9514 0.8547 0.2912

Principal peaks in the range 2θ = 10–90°, by angle:
2θ = 26.96°, 3.307 Å, intensity 100
2θ = 31.28°, 2.860 Å, intensity 37
2θ = 34.22°, 2.620 Å, intensity 25
2θ = 37.08°, 2.424 Å, intensity 14
2θ = 44.78°, 2.024 Å, intensity 50
2θ = 51.44°, 1.776 Å, intensity 12
2θ = 52.91°, 1.731 Å, intensity 14
2θ = 53.08°, 1.725 Å, intensity 24
2θ = 65.25°, 1.430 Å, intensity 8
2θ = 82.36°, 1.171 Å, intensity 9